Starting from DFT lattice parameters and positions (PBE+U), the powder diffraction line list of Na2WO4 was simulated for Cu Kα (λ = 1.5418 Å).
Intensities are scaled so that the largest is 100.

Main lines, by angle (10° ≤ 2θ ≤ 90°):
2θ = 16.54°, rel. 79; 2θ = 27.18°, rel. 100; 2θ = 31.98°, rel. 96; 2θ = 42.45°, rel. 16; 2θ = 48.02°, rel. 42; 2θ = 51.14°, rel. 31; 2θ = 56.05°, rel. 32; 2θ = 58.87°, rel. 17; 2θ = 63.38°, rel. 18; 2θ = 76.87°, rel. 22; 2θ = 79.29°, rel. 22; 2θ = 89.63°, rel. 12

Structure:
```
Na2WO4
1.0
0.000 4.641 4.641
4.641 0.000 4.641
4.641 4.641 0.000
Na W O
4 2 8
Direct
0.000 0.000 0.000 Na
0.000 0.000 0.500 Na
0.000 0.500 0.000 Na
0.500 0.000 0.000 Na
0.375 0.375 0.375 W
0.625 0.625 0.625 W
0.262 0.262 0.262 O
0.262 0.262 0.715 O
0.262 0.715 0.262 O
0.285 0.738 0.738 O
0.715 0.262 0.262 O
0.738 0.285 0.738 O
0.738 0.738 0.285 O
0.738 0.738 0.738 O
```

---

Starting from DFT lattice parameters and positions (PBE+U), the powder diffraction line list of Mn3Co2P4O20 was simulated for Cu Kα (λ = 1.5418 Å).
Intensities are scaled so that the largest is 100.

Main lines, by angle (10° ≤ 2θ ≤ 90°):
2θ = 10.50°, rel. 41; 2θ = 11.09°, rel. 52; 2θ = 14.16°, rel. 12; 2θ = 19.28°, rel. 32; 2θ = 21.87°, rel. 12; 2θ = 22.28°, rel. 30; 2θ = 25.10°, rel. 12; 2θ = 28.56°, rel. 100; 2θ = 30.67°, rel. 39; 2θ = 31.99°, rel. 17; 2θ = 34.42°, rel. 18; 2θ = 42.93°, rel. 14

Structure:
```
Mn3Co2P4O20
1.0
8.523 -4.530 0.000
8.523 4.530 0.000
-1.395 0.000 9.208
Mn Co P O
6 4 8 40
Direct
0.105 0.895 0.750 Mn
0.157 0.199 0.895 Mn
0.199 0.157 0.395 Mn
0.801 0.843 0.605 Mn
0.843 0.801 0.105 Mn
0.895 0.105 0.250 Mn
0.252 0.377 0.190 Co
0.377 0.252 0.690 Co
0.623 0.748 0.310 Co
0.748 0.623 0.810 Co
0.088 0.598 0.851 P
0.107 0.735 0.377 P
0.265 0.893 0.123 P
0.402 0.912 0.649 P
0.598 0.088 0.351 P
0.735 0.107 0.877 P
0.893 0.265 0.623 P
0.912 0.402 0.149 P
0.029 0.796 0.526 O
0.030 0.133 0.738 O
0.045 0.628 0.012 O
0.084 0.330 0.244 O
0.123 0.570 0.317 O
0.133 0.030 0.238 O
0.176 0.680 0.814 O
0.198 0.406 0.823 O
0.204 0.971 0.974 O
0.228 0.298 0.539 O
0.267 0.732 0.385 O
0.268 0.733 0.115 O
0.298 0.228 0.039 O
0.320 0.824 0.686 O
0.330 0.084 0.744 O
0.372 0.955 0.488 O
0.389 0.417 0.158 O
0.406 0.198 0.323 O
0.417 0.389 0.658 O
0.430 0.877 0.183 O
0.570 0.123 0.817 O
0.583 0.611 0.342 O
0.594 0.802 0.677 O
0.611 0.583 0.842 O
0.628 0.045 0.512 O
0.670 0.916 0.256 O
0.680 0.176 0.314 O
0.702 0.772 0.961 O
0.732 0.267 0.885 O
0.733 0.268 0.615 O
0.772 0.702 0.461 O
0.796 0.029 0.026 O
0.802 0.594 0.177 O
0.824 0.320 0.186 O
0.867 0.970 0.762 O
0.877 0.430 0.683 O
0.916 0.670 0.756 O
0.955 0.372 0.988 O
0.970 0.867 0.262 O
0.971 0.204 0.474 O
```

---

Starting from DFT lattice parameters and positions (PBE+U), the powder diffraction line list of NbCoPb2O6 was simulated for Cu Kα (λ = 1.5418 Å).
Intensities are scaled so that the largest is 100.

Main lines, by angle (10° ≤ 2θ ≤ 90°):
2θ = 22.10°, rel. 18; 2θ = 31.45°, rel. 100; 2θ = 38.78°, rel. 16; 2θ = 45.08°, rel. 29; 2θ = 50.75°, rel. 10; 2θ = 56.00°, rel. 40; 2θ = 65.65°, rel. 18; 2θ = 70.20°, rel. 5; 2θ = 74.62°, rel. 18; 2θ = 78.94°, rel. 6; 2θ = 83.20°, rel. 6; 2θ = 87.43°, rel. 3

Structure:
```
NbCoPb2O6
1.0
0.000 4.022 4.022
4.022 0.000 4.022
4.022 4.022 0.000
Nb Co Pb O
1 1 2 6
Direct
0.000 0.000 0.000 Nb
0.500 0.500 0.500 Co
0.250 0.250 0.250 Pb
0.750 0.750 0.750 Pb
0.251 0.251 0.749 O
0.251 0.749 0.251 O
0.251 0.749 0.749 O
0.749 0.251 0.251 O
0.749 0.251 0.749 O
0.749 0.749 0.251 O
```